(1)
This entry pairs a crystal structure of SrAcPtBr with its calculated X-ray diffraction stick pattern. Radiation: λ = 1.5418 Å (Cu Kα). Structure: a PBE-relaxed structure.
Intensities are scaled so that the largest is 100.

Atomic structure:
abc: 8.631 8.631 8.631
angles: 29.47 29.47 29.47
Atoms (fractional coordinates):
Sr  0.000  0.000  0.000
Ac  0.801  0.801  0.801
Pt  0.405  0.405  0.405
Br  0.233  0.233  0.233

Peak list (12 most intense, 5° ≤ 2θ ≤ 70°, in order of rising 2θ)
| 2theta | Rel. int. |
| --- | --- |
| 10.72 | 67 |
| 24.49 | 50 |
| 29.63 | 100 |
| 34.64 | 29 |
| 37.48 | 12 |
| 41.12 | 47 |
| 42.62 | 16 |
| 43.64 | 26 |
| 51.49 | 22 |
| 61.51 | 10 |
| 61.71 | 11 |
| 67.92 | 19 |

(2)
This entry pairs a crystal structure of Pu2NpScAs4 with its calculated X-ray diffraction stick pattern. Radiation: λ = 1.5418 Å (Cu Kα). Structure: a PBE-relaxed structure.
Intensities are scaled so that the largest is 100.

Atomic structure:
abc: 7.033 4.074 7.033
angles: 90.00 109.41 90.00
Atoms (fractional coordinates):
Pu  0.000  0.000  0.000
Pu  0.000  0.500  0.500
Np  0.500  0.000  0.500
Sc  0.500  0.500  0.000
As  0.258  0.500  0.246
As  0.262  0.000  0.757
As  0.738  0.000  0.243
As  0.742  0.500  0.754

Peak list (12 most intense, 5° ≤ 2θ ≤ 70°, in order of rising 2θ)
| 2theta | Rel. int. |
| --- | --- |
| 13.35 | 12 |
| 25.69 | 11 |
| 26.86 | 32 |
| 31.11 | 100 |
| 33.99 | 7 |
| 44.48 | 13 |
| 44.60 | 62 |
| 52.78 | 11 |
| 52.88 | 6 |
| 55.30 | 13 |
| 55.41 | 13 |
| 64.81 | 8 |